# 1
Ho4CuPt3: computed X-ray diffraction stick pattern (Cu Kα (λ = 1.5418 Å)), based on the GGA-PBE geometry in Alexandria.
No peak broadening, texture or thermal motion is included.

Cell and atoms:
```
data_Ho4CuPt3
_chemical_formula_sum 'Ho4 Cu1 Pt3'
_space_group_name_H-M_alt 'P 1'
_space_group_IT_number 1
_cell_length_a 3.723
_cell_length_b 4.487
_cell_length_c 10.485
_cell_angle_alpha 90.00
_cell_angle_beta 90.00
_cell_angle_gamma 90.00
loop_
_space_group_symop_operation_xyz
'x,y,z'
loop_
_atom_site_label
_atom_site_type_symbol
_atom_site_fract_x
_atom_site_fract_y
_atom_site_fract_z
Ho1 Ho 0.000 0.000 0.000
Ho2 Ho 0.000 0.500 0.275
Ho3 Ho 0.500 0.000 0.495
Ho4 Ho 0.500 0.500 0.773
Cu1 Cu 0.000 0.000 0.713
Pt1 Pt 0.000 0.500 0.559
Pt2 Pt 0.500 0.000 0.225
Pt3 Pt 0.500 0.500 0.044
```

Top 6 peaks for 2θ from 5° to 70°, by angle:
- 32.40 deg, I 100.0
- 34.21 deg, I 28.4
- 39.83 deg, I 23.4
- 40.20 deg, I 33.6
- 40.72 deg, I 72.6
- 48.94 deg, I 19.2


# 2
NaUPb2Se6: computed X-ray diffraction stick pattern (Cu Kα (λ = 1.5418 Å)), based on the GGA-PBE geometry in Alexandria.
No peak broadening, texture or thermal motion is included.

Cell and atoms:
```
data_NaUPb2Se6
_chemical_formula_sum 'Na2 U2 Pb4 Se12'
_space_group_name_H-M_alt 'P 1'
_space_group_IT_number 1
_cell_length_a 7.212
_cell_length_b 8.059
_cell_length_c 12.164
_cell_angle_alpha 90.00
_cell_angle_beta 121.19
_cell_angle_gamma 90.00
loop_
_space_group_symop_operation_xyz
'x,y,z'
loop_
_atom_site_label
_atom_site_type_symbol
_atom_site_fract_x
_atom_site_fract_y
_atom_site_fract_z
Na1 Na 0.000 0.000 0.000
Na2 Na 0.000 0.500 0.500
U1 U 0.500 0.000 0.500
U2 U 0.500 0.500 0.000
Pb1 Pb 0.174 0.087 0.699
Pb2 Pb 0.174 0.413 0.199
Pb3 Pb 0.826 0.587 0.801
Pb4 Pb 0.826 0.913 0.301
Se1 Se 0.142 0.179 0.451
Se2 Se 0.142 0.321 0.951
Se3 Se 0.260 0.723 0.416
Se4 Se 0.260 0.777 0.916
Se5 Se 0.401 0.056 0.260
Se6 Se 0.401 0.444 0.760
Se7 Se 0.599 0.556 0.240
Se8 Se 0.599 0.944 0.740
Se9 Se 0.740 0.223 0.084
Se10 Se 0.740 0.277 0.584
Se11 Se 0.858 0.679 0.049
Se12 Se 0.858 0.821 0.549
```

Top 6 peaks for 2θ from 5° to 70°, by angle:
- 13.90 deg, I 100.0
- 23.03 deg, I 32.4
- 24.60 deg, I 39.8
- 27.85 deg, I 44.7
- 29.56 deg, I 43.3
- 33.42 deg, I 27.6


# 3
K2InCl5: computed X-ray diffraction stick pattern (Cu Kα (λ = 1.5418 Å)), based on the GGA-PBE geometry in Alexandria.
No peak broadening, texture or thermal motion is included.

Cell and atoms:
```
data_K2InCl5
_chemical_formula_sum 'K8 In4 Cl20'
_space_group_name_H-M_alt 'P 1'
_space_group_IT_number 1
_cell_length_a 9.585
_cell_length_b 12.408
_cell_length_c 10.256
_cell_angle_alpha 90.00
_cell_angle_beta 90.00
_cell_angle_gamma 90.00
loop_
_space_group_symop_operation_xyz
'x,y,z'
loop_
_atom_site_label
_atom_site_type_symbol
_atom_site_fract_x
_atom_site_fract_y
_atom_site_fract_z
K1 K 0.000 0.000 0.247
K2 K 0.000 0.000 0.753
K3 K 0.179 0.341 0.500
K4 K 0.321 0.841 0.000
K5 K 0.500 0.500 0.253
K6 K 0.500 0.500 0.747
K7 K 0.679 0.159 0.000
K8 K 0.821 0.659 0.500
In1 In 0.242 0.275 0.000
In2 In 0.258 0.775 0.500
In3 In 0.742 0.225 0.500
In4 In 0.758 0.725 0.000
Cl1 Cl 0.006 0.855 0.500
Cl2 Cl 0.009 0.170 0.000
Cl3 Cl 0.146 0.597 0.500
Cl4 Cl 0.192 0.376 0.198
Cl5 Cl 0.192 0.376 0.802
Cl6 Cl 0.308 0.876 0.302
Cl7 Cl 0.308 0.876 0.698
Cl8 Cl 0.354 0.097 0.000
Cl9 Cl 0.491 0.670 0.500
Cl10 Cl 0.494 0.355 0.000
Cl11 Cl 0.506 0.645 0.000
Cl12 Cl 0.509 0.330 0.500
Cl13 Cl 0.646 0.903 0.000
Cl14 Cl 0.692 0.124 0.302
Cl15 Cl 0.692 0.124 0.698
Cl16 Cl 0.808 0.624 0.198
Cl17 Cl 0.808 0.624 0.802
Cl18 Cl 0.854 0.403 0.500
Cl19 Cl 0.991 0.830 0.000
Cl20 Cl 0.994 0.145 0.500
```

Top 6 peaks for 2θ from 5° to 70°, by angle:
- 14.52 deg, I 100.0
- 17.02 deg, I 32.0
- 17.29 deg, I 34.6
- 22.49 deg, I 44.7
- 35.02 deg, I 31.5
- 38.78 deg, I 23.2


# 4
KRb3H4: computed X-ray diffraction stick pattern (Cu Kα (λ = 1.5418 Å)), based on the GGA-PBE geometry in Alexandria.
No peak broadening, texture or thermal motion is included.

Cell and atoms:
```
data_KRb3H4
_chemical_formula_sum 'K1 Rb3 H4'
_space_group_name_H-M_alt 'P 1'
_space_group_IT_number 1
_cell_length_a 7.238
_cell_length_b 7.238
_cell_length_c 4.170
_cell_angle_alpha 90.06
_cell_angle_beta 90.06
_cell_angle_gamma 70.64
loop_
_space_group_symop_operation_xyz
'x,y,z'
loop_
_atom_site_label
_atom_site_type_symbol
_atom_site_fract_x
_atom_site_fract_y
_atom_site_fract_z
K1 K 0.000 0.000 0.000
Rb1 Rb 0.000 0.500 0.500
Rb2 Rb 0.500 0.000 0.500
Rb3 Rb 0.500 0.500 0.000
H1 H 0.242 0.758 0.500
H2 H 0.246 0.246 0.000
H3 H 0.754 0.754 0.000
H4 H 0.758 0.242 0.500
```

Top 6 peaks for 2θ from 5° to 70°, by angle:
- 26.13 deg, I 100.0
- 30.26 deg, I 55.9
- 43.28 deg, I 19.9
- 43.36 deg, I 19.8
- 51.28 deg, I 33.7
- 51.36 deg, I 11.2


# 5
Tb5Ho2Sn4: computed X-ray diffraction stick pattern (Cu Kα (λ = 1.5418 Å)), based on the GGA-PBE geometry in Alexandria.
No peak broadening, texture or thermal motion is included.

Cell and atoms:
```
data_Tb5Ho2Sn4
_chemical_formula_sum 'Tb5 Ho2 Sn4'
_space_group_name_H-M_alt 'P 1'
_space_group_IT_number 1
_cell_length_a 10.780
_cell_length_b 10.780
_cell_length_c 7.689
_cell_angle_alpha 103.48
_cell_angle_beta 103.48
_cell_angle_gamma 23.27
loop_
_space_group_symop_operation_xyz
'x,y,z'
loop_
_atom_site_label
_atom_site_type_symbol
_atom_site_fract_x
_atom_site_fract_y
_atom_site_fract_z
Tb1 Tb 0.000 0.000 0.000
Tb2 Tb 0.323 0.323 0.546
Tb3 Tb 0.355 0.355 0.040
Tb4 Tb 0.645 0.645 0.960
Tb5 Tb 0.677 0.677 0.454
Ho1 Ho 0.073 0.073 0.607
Ho2 Ho 0.927 0.927 0.393
Sn1 Sn 0.218 0.218 0.765
Sn2 Sn 0.474 0.474 0.708
Sn3 Sn 0.526 0.526 0.292
Sn4 Sn 0.782 0.782 0.235
```

Top 6 peaks for 2θ from 5° to 70°, by angle:
- 24.26 deg, I 21.3
- 31.94 deg, I 100.0
- 32.86 deg, I 22.8
- 34.21 deg, I 87.8
- 37.00 deg, I 23.3
- 41.55 deg, I 30.2


# 6
LaDy10Tm4: computed X-ray diffraction stick pattern (Cu Kα (λ = 1.5418 Å)), based on the GGA-PBE geometry in Alexandria.
No peak broadening, texture or thermal motion is included.

Cell and atoms:
```
data_LaDy10Tm4
_chemical_formula_sum 'La1 Dy10 Tm4'
_space_group_name_H-M_alt 'P 1'
_space_group_IT_number 1
_cell_length_a 9.571
_cell_length_b 9.571
_cell_length_c 9.571
_cell_angle_alpha 96.76
_cell_angle_beta 96.76
_cell_angle_gamma 139.86
loop_
_space_group_symop_operation_xyz
'x,y,z'
loop_
_atom_site_label
_atom_site_type_symbol
_atom_site_fract_x
_atom_site_fract_y
_atom_site_fract_z
La1 La 0.000 0.000 0.000
Dy1 Dy 0.041 0.624 0.162
Dy2 Dy 0.120 0.959 0.582
Dy3 Dy 0.250 0.750 0.500
Dy4 Dy 0.376 0.538 0.418
Dy5 Dy 0.462 0.880 0.838
Dy6 Dy 0.538 0.120 0.162
Dy7 Dy 0.624 0.462 0.582
Dy8 Dy 0.750 0.250 0.500
Dy9 Dy 0.880 0.041 0.418
Dy10 Dy 0.959 0.376 0.838
Tm1 Tm 0.324 0.432 0.756
Tm2 Tm 0.432 0.676 0.109
Tm3 Tm 0.568 0.324 0.891
Tm4 Tm 0.676 0.568 0.244
```

Top 6 peaks for 2θ from 5° to 70°, by angle:
- 28.74 deg, I 34.2
- 28.94 deg, I 56.3
- 31.47 deg, I 100.0
- 35.29 deg, I 87.8
- 36.02 deg, I 38.0
- 45.69 deg, I 33.7